This entry pairs a crystal structure of CrMoOs2 with its simulated PXRD pattern. Radiation: Cu Kα X-rays. Structure: a DFT-relaxed cell (GGA-PBE, Alexandria).
Lines closer than 0.1° are merged.

Most intense lines, 2θ = 15–90°, sorted by position:
- d = 3.898 Å, 22.81 deg, intensity 13.5, (0 1 1)
- d = 2.841 Å, 31.49 deg, intensity 15.4, (1 0 1)
- d = 2.408 Å, 37.35 deg, intensity 17.9, (0 1 3)
- d = 2.183 Å, 41.37 deg, intensity 27.1, (0 2 0)
- d = 2.165 Å, 41.73 deg, intensity 22.8, (0 0 4)
- d = 2.150 Å, 42.03 deg, intensity 100.0, (1 1 2)
- d = 1.537 Å, 60.21 deg, intensity 15.3, (0 2 4)
- d = 1.254 Å, 75.89 deg, intensity 17.4, (1 3 2)
- d = 1.247 Å, 76.38 deg, intensity 12.6, (1 1 6)
- d = 1.238 Å, 77.00 deg, intensity 8.7, (2 2 0)

Structure:
a b c (Å): 3.0078 4.3651 8.6587
angles (deg): 90.00 90.00 90.00
Space group Imm2 (No. 44)
Inequivalent atoms, fractional coordinates:
Cr 0.0000 0.0000 0.0000
Mo 0.0000 0.5000 0.7229
Os 0.0000 0.0000 0.4851
Os 0.0000 0.5000 0.2618

This entry pairs a crystal structure of CrMoOs2 with its simulated PXRD pattern. Radiation: Cu Kα X-rays. Structure: a DFT-relaxed cell (GGA-PBE, Alexandria).
Lines closer than 0.1° are merged.

Most intense lines, 2θ = 15–90°, sorted by position:
- d = 4.403 Å, 20.17 deg, intensity 50.3, (2 0 0)
- d = 2.329 Å, 38.66 deg, intensity 30.3, (1 1 -1)
- d = 2.231 Å, 40.43 deg, intensity 50.6, (2 0 -2)
- d = 2.225 Å, 40.54 deg, intensity 100.0, (1 1 1)
- d = 2.202 Å, 40.99 deg, intensity 48.2, (4 0 0)
- d = 1.923 Å, 47.26 deg, intensity 95.7, (3 1 -1)
- d = 1.367 Å, 68.66 deg, intensity 20.0, (1 1 -3)
- d = 1.353 Å, 69.44 deg, intensity 19.0, (5 1 1)
- d = 1.161 Å, 83.18 deg, intensity 23.5, (5 1 -3)
- d = 1.153 Å, 83.89 deg, intensity 17.4, (7 1 -1)

Structure:
a b c (Å): 8.9481 2.7275 4.7392
angles (deg): 90.00 100.21 90.00
Space group C2/m (No. 12)
Inequivalent atoms, fractional coordinates:
Cr 0.0000 0.0000 0.0000
Mo 0.0000 0.5000 0.5000
Os 0.2432 0.5000 0.2327

This entry pairs a crystal structure of ZnCr2MoPd with its simulated PXRD pattern. Radiation: Cu Kα X-rays. Structure: a DFT-relaxed cell (GGA-PBE, Alexandria).
Lines closer than 0.1° are merged.

Most intense lines, 2θ = 15–90°, sorted by position:
- d = 3.122 Å, 28.60 deg, intensity 20.3, (1 0 1)
- d = 3.043 Å, 29.35 deg, intensity 40.6, (1 1 0)
- d = 2.527 Å, 35.53 deg, intensity 100.0, (1 1 1)
- d = 2.268 Å, 39.75 deg, intensity 45.8, (0 0 2)
- d = 2.152 Å, 41.99 deg, intensity 77.9, (2 0 0)
- d = 1.818 Å, 50.17 deg, intensity 18.7, (1 1 2)
- d = 1.561 Å, 59.20 deg, intensity 53.4, (2 0 2)
- d = 1.521 Å, 60.89 deg, intensity 24.4, (2 2 0)
- d = 1.303 Å, 72.52 deg, intensity 22.4, (3 1 1)
- d = 1.263 Å, 75.21 deg, intensity 25.4, (2 2 2)

Structure:
a b c (Å): 4.3034 4.3034 4.5351
angles (deg): 90.00 90.00 90.00
Space group P4/mmm (No. 123)
Inequivalent atoms, fractional coordinates:
Zn 0.0000 0.0000 0.0000
Cr 0.0000 0.5000 0.0000
Mo 0.0000 0.0000 0.5000
Pd 0.5000 0.5000 0.5000

This entry pairs a crystal structure of CrMo2Pt with its simulated PXRD pattern. Radiation: Cu Kα X-rays. Structure: a DFT-relaxed cell (GGA-PBE, Alexandria).
Lines closer than 0.1° are merged.

Most intense lines, 2θ = 15–90°, sorted by position:
- d = 3.914 Å, 22.72 deg, intensity 10.2, (0 0 2)
- d = 3.490 Å, 25.52 deg, intensity 17.3, (1 0 1)
- d = 2.254 Å, 40.00 deg, intensity 100.0, (1 1 2)
- d = 1.957 Å, 46.39 deg, intensity 16.2, (0 0 4)
- d = 1.949 Å, 46.59 deg, intensity 32.0, (2 0 0)
- d = 1.381 Å, 67.86 deg, intensity 20.4, (2 0 4)
- d = 1.378 Å, 68.01 deg, intensity 10.1, (2 2 0)
- d = 1.179 Å, 81.64 deg, intensity 12.3, (1 1 6)
- d = 1.176 Å, 81.93 deg, intensity 24.4, (3 1 2)
- d = 1.127 Å, 86.32 deg, intensity 10.9, (2 2 4)

Structure:
a b c (Å): 3.8988 3.8988 7.8287
angles (deg): 90.00 90.00 90.00
Space group I-4m2 (No. 119)
Inequivalent atoms, fractional coordinates:
Cr 0.0000 0.0000 0.0000
Mo 0.0000 0.0000 0.5000
Mo 0.0000 0.5000 0.7500
Pt 0.0000 0.5000 0.2500

This entry pairs a crystal structure of CrReMo2 with its simulated PXRD pattern. Radiation: Cu Kα X-rays. Structure: a DFT-relaxed cell (GGA-PBE, Alexandria).
Lines closer than 0.1° are merged.

Most intense lines, 2θ = 15–90°, sorted by position:
- d = 4.355 Å, 20.39 deg, intensity 35.0, (1 1 0)
- d = 2.525 Å, 35.56 deg, intensity 18.6, (1 3 0)
- d = 2.190 Å, 41.22 deg, intensity 100.0, (0 4 0)
- d = 2.178 Å, 41.45 deg, intensity 98.4, (2 2 0)
- d = 1.957 Å, 46.40 deg, intensity 9.0, (1 1 1)
- d = 1.544 Å, 59.89 deg, intensity 32.4, (2 0 1)
- d = 1.264 Å, 75.14 deg, intensity 16.6, (0 6 1)
- d = 1.262 Å, 75.30 deg, intensity 32.9, (2 6 0)
- d = 1.255 Å, 75.77 deg, intensity 16.2, (4 0 0)
- d = 1.095 Å, 89.50 deg, intensity 11.1, (0 8 0)

Structure:
a b c (Å): 5.3215 8.7568 2.6816
angles (deg): 90.00 109.37 90.00
Space group C2/m (No. 12)
Inequivalent atoms, fractional coordinates:
Cr 0.0000 0.0000 0.0000
Re 0.0000 0.5000 0.0000
Mo 0.2500 0.2500 0.5000

This entry pairs a crystal structure of Cr2MoRh with its simulated PXRD pattern. Radiation: Cu Kα X-rays. Structure: a DFT-relaxed cell (GGA-PBE, Alexandria).
Lines closer than 0.1° are merged.

Most intense lines, 2θ = 15–90°, sorted by position:
- d = 3.094 Å, 28.86 deg, intensity 6.6, (0 0 1)
- d = 2.982 Å, 29.97 deg, intensity 12.1, (1 1 0)
- d = 2.147 Å, 42.09 deg, intensity 100.0, (1 1 1)
- d = 2.108 Å, 42.89 deg, intensity 47.2, (2 0 0)
- d = 1.742 Å, 52.53 deg, intensity 5.4, (2 0 1)
- d = 1.547 Å, 59.79 deg, intensity 8.3, (0 0 2)
- d = 1.491 Å, 62.28 deg, intensity 14.7, (2 2 0)
- d = 1.373 Å, 68.31 deg, intensity 2.6, (1 1 2)
- d = 1.247 Å, 76.36 deg, intensity 15.8, (2 0 2)
- d = 1.225 Å, 78.03 deg, intensity 29.7, (3 1 1)

Structure:
a b c (Å): 4.2168 4.2168 3.0936
angles (deg): 90.00 90.00 90.00
Space group P4/mmm (No. 123)
Inequivalent atoms, fractional coordinates:
Cr 0.0000 0.5000 0.0000
Mo 0.0000 0.0000 0.5000
Rh 0.5000 0.5000 0.5000

This entry pairs a crystal structure of Cr2MoRh5 with its simulated PXRD pattern. Radiation: Cu Kα X-rays. Structure: a DFT-relaxed cell (GGA-PBE, Alexandria).
Lines closer than 0.1° are merged.

Most intense lines, 2θ = 15–90°, sorted by position:
- d = 3.824 Å, 23.26 deg, intensity 3.7, (1 1 0)
- d = 2.701 Å, 33.17 deg, intensity 5.1, (2 0 0)
- d = 2.205 Å, 40.94 deg, intensity 100.0, (2 0 2)
- d = 1.912 Å, 47.56 deg, intensity 32.0, (2 2 0)
- d = 1.904 Å, 47.77 deg, intensity 15.8, (0 0 4)
- d = 1.352 Å, 69.53 deg, intensity 9.9, (4 0 0)
- d = 1.349 Å, 69.70 deg, intensity 19.6, (2 2 4)
- d = 1.153 Å, 83.96 deg, intensity 23.5, (4 2 2)
- d = 1.149 Å, 84.28 deg, intensity 11.7, (2 0 6)
- d = 1.102 Å, 88.75 deg, intensity 10.5, (4 0 4)

Structure:
a b c (Å): 5.4081 5.4081 7.6154
angles (deg): 90.00 90.00 90.00
Space group I4/mmm (No. 139)
Inequivalent atoms, fractional coordinates:
Cr 0.0000 0.5000 0.0000
Mo 0.0000 0.0000 0.0000
Rh 0.0000 0.0000 0.5000
Rh 0.2500 0.2500 0.2500

This entry pairs a crystal structure of Cr2MoRu with its simulated PXRD pattern. Radiation: Cu Kα X-rays. Structure: a DFT-relaxed cell (GGA-PBE, Alexandria).
Lines closer than 0.1° are merged.

Most intense lines, 2θ = 15–90°, sorted by position:
- d = 3.146 Å, 28.37 deg, intensity 22.9, (0 1 1)
- d = 2.158 Å, 41.86 deg, intensity 100.0, (1 1 -1)
- d = 2.118 Å, 42.68 deg, intensity 50.1, (1 0 1)
- d = 2.111 Å, 42.84 deg, intensity 97.2, (0 1 2)
- d = 2.042 Å, 44.35 deg, intensity 45.1, (0 2 0)
- d = 1.551 Å, 59.61 deg, intensity 14.7, (1 0 -3)
- d = 1.470 Å, 63.24 deg, intensity 29.2, (1 2 1)
- d = 1.240 Å, 76.90 deg, intensity 14.3, (2 1 0)
- d = 1.213 Å, 78.94 deg, intensity 15.1, (1 1 3)
- d = 1.192 Å, 80.60 deg, intensity 14.0, (0 3 2)

Structure:
a b c (Å): 2.6667 4.0848 5.0529
angles (deg): 90.00 102.61 90.00
Space group Pm (No. 6)
Inequivalent atoms, fractional coordinates:
Cr 0.0000 0.0000 0.0000
Cr 0.1723 0.5000 0.7867
Mo 0.7348 0.5000 0.2659
Ru 0.4406 0.0000 0.5350

This entry pairs a crystal structure of CrMo2S4 with its simulated PXRD pattern. Radiation: Cu Kα X-rays. Structure: a DFT-relaxed cell (GGA-PBE, Alexandria).
Lines closer than 0.1° are merged.

Most intense lines, 2θ = 15–90°, sorted by position:
- d = 5.899 Å, 15.02 deg, intensity 99.6, (0 0 2)
- d = 5.227 Å, 16.96 deg, intensity 39.5, (2 0 -2)
- d = 2.887 Å, 30.98 deg, intensity 43.2, (2 2 -1)
- d = 2.618 Å, 34.25 deg, intensity 100.0, (4 0 -4)
- d = 2.163 Å, 41.77 deg, intensity 40.0, (4 0 2)
- d = 2.091 Å, 43.27 deg, intensity 52.9, (2 2 3)
- d = 2.036 Å, 44.50 deg, intensity 56.8, (2 2 -5)
- d = 1.966 Å, 46.17 deg, intensity 27.6, (4 2 1)
- d = 1.708 Å, 53.66 deg, intensity 24.4, (6 2 -3)
- d = 1.647 Å, 55.83 deg, intensity 27.5, (0 4 0)

Structure:
a b c (Å): 12.0045 6.5878 12.9530
angles (deg): 90.00 114.37 90.00
Space group C2/c (No. 15)
Inequivalent atoms, fractional coordinates:
Cr 0.2407 0.1235 0.2483
Mo 0.0895 0.1492 0.9922
Mo 0.0985 0.4000 0.4938
S 0.0162 0.1287 0.1359
S 0.0365 0.3804 0.6476
S 0.2365 0.1325 0.8873
S 0.2486 0.3792 0.3952

This entry pairs a crystal structure of Cr4SbMo with its simulated PXRD pattern. Radiation: Cu Kα X-rays. Structure: a DFT-relaxed cell (GGA-PBE, Alexandria).
Lines closer than 0.1° are merged.

Most intense lines, 2θ = 15–90°, sorted by position:
- d = 3.983 Å, 22.32 deg, intensity 6.6, (1 1 1)
- d = 2.439 Å, 36.85 deg, intensity 56.7, (2 2 0)
- d = 2.080 Å, 43.51 deg, intensity 100.0, (3 1 1)
- d = 1.991 Å, 45.55 deg, intensity 19.1, (2 2 2)
- d = 1.583 Å, 58.30 deg, intensity 1.8, (3 3 1)
- d = 1.408 Å, 66.39 deg, intensity 19.4, (4 2 2)
- d = 1.328 Å, 71.00 deg, intensity 28.6, (3 3 3)
- d = 1.219 Å, 78.42 deg, intensity 21.6, (4 4 0)
- d = 1.166 Å, 82.77 deg, intensity 1.7, (5 3 1)
- d = 1.091 Å, 89.95 deg, intensity 9.0, (6 2 0)

Structure:
a b c (Å): 6.8983 6.8983 6.8983
angles (deg): 90.00 90.00 90.00
Space group F-43m (No. 216)
Inequivalent atoms, fractional coordinates:
Cr 0.1243 0.1243 0.1243
Sb 0.2500 0.2500 0.7500
Mo 0.0000 0.0000 0.5000

This entry pairs a crystal structure of Cr2SbMo2 with its simulated PXRD pattern. Radiation: Cu Kα X-rays. Structure: a DFT-relaxed cell (GGA-PBE, Alexandria).
Lines closer than 0.1° are merged.

Most intense lines, 2θ = 15–90°, sorted by position:
- d = 2.727 Å, 32.84 deg, intensity 100.0, (1 0 3)
- d = 2.465 Å, 36.45 deg, intensity 51.0, (1 1 2)
- d = 1.987 Å, 45.67 deg, intensity 50.3, (1 0 5)
- d = 1.926 Å, 47.20 deg, intensity 37.5, (2 0 0)
- d = 1.573 Å, 58.68 deg, intensity 26.8, (2 1 3)
- d = 1.383 Å, 67.76 deg, intensity 21.3, (2 1 5)
- d = 1.362 Å, 68.97 deg, intensity 11.5, (2 2 0)
- d = 1.218 Å, 78.53 deg, intensity 10.3, (3 0 3)
- d = 1.158 Å, 83.45 deg, intensity 13.4, (2 0 8)
- d = 1.123 Å, 86.70 deg, intensity 9.9, (3 0 5)

Structure:
a b c (Å): 3.8510 3.8510 11.6007
angles (deg): 90.00 90.00 90.00
Space group I4/mmm (No. 139)
Inequivalent atoms, fractional coordinates:
Cr 0.0000 0.5000 0.2500
Sb 0.0000 0.0000 0.0000
Mo 0.0000 0.0000 0.3790

This entry pairs a crystal structure of Cr2Si6Mo with its simulated PXRD pattern. Radiation: Cu Kα X-rays. Structure: a DFT-relaxed cell (GGA-PBE, Alexandria).
Lines closer than 0.1° are merged.

Most intense lines, 2θ = 15–90°, sorted by position:
- d = 3.895 Å, 22.83 deg, intensity 19.1, (1 1 0)
- d = 3.329 Å, 26.78 deg, intensity 69.4, (0 2 1)
- d = 2.481 Å, 36.21 deg, intensity 31.5, (0 2 2)
- d = 2.242 Å, 40.22 deg, intensity 24.2, (1 3 0)
- d = 2.148 Å, 42.07 deg, intensity 61.8, (0 0 3)
- d = 2.126 Å, 42.52 deg, intensity 62.0, (2 0 1)
- d = 2.118 Å, 42.70 deg, intensity 100.0, (1 3 1)
- d = 1.846 Å, 49.37 deg, intensity 35.3, (2 0 2)
- d = 1.840 Å, 49.53 deg, intensity 66.3, (1 3 2)
- d = 1.308 Å, 72.21 deg, intensity 18.7, (1 3 4)

Structure:
a b c (Å): 4.5046 7.7556 6.4431
angles (deg): 90.00 90.00 90.00
Space group C222 (No. 21)
Inequivalent atoms, fractional coordinates:
Cr 0.2500 0.2500 0.1649
Si 0.0000 0.3336 0.5000
Si 0.2445 0.4153 0.8391
Mo 0.0000 0.0000 0.5000